(1)
# RbHg6F8
Calculated X-ray diffraction stick pattern, λ = 1.5418 Å (Cu Kα). Input: the GGA-PBE geometry in Alexandria.
Neutral-atom scattering factors, no anomalous dispersion.

Principal peaks in the range 2θ from 10° to 80°, most intense first:
two_theta	I_rel	(hkl)
30.3	100	0 2 1
26.0	60	0 0 6
22.9	50	1 0 4
37.3	42	2 0 5
53.2	39	2 2 0
17.2	38	0 1 2
47.6	34	3 0 3
40.2	29	2 1 1
54.2	28	0 2 10
51.1	25	2 1 7
34.8	24	0 2 4
26.3	23	0 1 5

a b c (Å): 6.8869 6.8869 20.5440
angles (deg): 90.00 90.00 120.00
Space group R-3m (No. 166, hexagonal axes)
One atom of each set of equivalent atoms:
Rb 0.0000 0.0000 0.0000 (multiplicity 3)
Hg 0.0569 0.5284 0.9079 (multiplicity 18)
F 0.0000 0.0000 0.3664 (multiplicity 6)
F 0.0388 0.5194 0.7808 (multiplicity 18)

(2)
# Ni6Ge2B
Calculated X-ray diffraction stick pattern, λ = 1.5418 Å (Cu Kα). Input: the GGA-PBE geometry in Alexandria.
Neutral-atom scattering factors, no anomalous dispersion.

Principal peaks in the range 2θ from 10° to 80°, most intense first:
two_theta	I_rel	(hkl)
42.2	100	1 1 1
44.5	52	2 1 0
45.6	36	2 0 1
50.8	31	3 0 0
54.8	24	2 1 1
63.1	13	0 0 2
30.3	8	0 0 1
70.6	6	3 1 1
68.1	5	2 2 1
59.4	4	2 2 0
62.1	4	3 1 0
77.9	4	4 0 1

a b c (Å): 6.2255 6.2255 2.9469
angles (deg): 90.00 90.00 120.00
Space group P-62m (No. 189)
One atom of each set of equivalent atoms:
Ni 0.0000 0.2372 0.0000 (multiplicity 3)
Ni 0.0000 0.6191 0.5000 (multiplicity 3)
Ge 0.3333 0.6667 0.0000 (multiplicity 2)
B 0.0000 0.0000 0.5000 (multiplicity 1)

(3)
# Ac2HfAs3Rh12
Calculated X-ray diffraction stick pattern, λ = 1.5418 Å (Cu Kα). Input: the GGA-PBE geometry in Alexandria.
Neutral-atom scattering factors, no anomalous dispersion.

Principal peaks in the range 2θ from 10° to 80°, most intense first:
two_theta	I_rel	(hkl)
43.4	100	2 2 0
31.9	83	0 2 4
48.1	61	2 0 8
28.0	43	0 1 5
26.1	34	1 1 3
66.7	21	0 4 8
41.7	20	1 2 5
34.4	18	1 2 2
25.2	17	0 2 1
54.9	15	4 0 4
79.6	15	6 0 0
26.6	14	2 0 2

a b c (Å): 8.3425 8.3425 17.7802
angles (deg): 90.00 90.00 120.00
Space group R-3m (No. 166, hexagonal axes)
One atom of each set of equivalent atoms:
Ac 0.0000 0.0000 0.1072 (multiplicity 6)
Hf 0.0000 0.0000 0.5000 (multiplicity 3)
As 0.0000 0.5000 0.0000 (multiplicity 9)
Rh 0.0104 0.5052 0.8669 (multiplicity 18)
Rh 0.0301 0.5150 0.3692 (multiplicity 18)

(4)
# Nd3Si3Pd2
Calculated X-ray diffraction stick pattern, λ = 1.5418 Å (Cu Kα). Input: the GGA-PBE geometry in Alexandria.
Neutral-atom scattering factors, no anomalous dispersion.

Principal peaks in the range 2θ from 10° to 80°, most intense first:
two_theta	I_rel	(hkl)
33.0	100	1 1 4
41.4	24	2 0 0
37.4	23	1 3 3
40.9	18	1 3 4
36.8	17	0 0 6
38.4	16	0 4 3
55.1	15	1 3 7
25.2	13	1 1 2
24.7	12	0 2 3
70.1	12	3 1 4
34.9	12	0 2 5
34.7	11	1 3 2

a b c (Å): 4.365 10.694 14.651
angles (deg): 90.00 90.00 90.00
Space group Cmcm (No. 63)
One atom of each set of equivalent atoms:
Nd 0.000 0.092 0.111 (multiplicity 8)
Nd 0.000 0.372 0.250 (multiplicity 4)
Si 0.000 0.329 0.750 (multiplicity 4)
Si 0.000 0.395 0.039 (multiplicity 8)
Pd 0.000 0.201 0.593 (multiplicity 8)

(5)
# Sm5AlTe4
Calculated X-ray diffraction stick pattern, λ = 1.5418 Å (Cu Kα). Input: the GGA-PBE geometry in Alexandria.
Neutral-atom scattering factors, no anomalous dispersion.

Principal peaks in the range 2θ from 10° to 80°, most intense first:
two_theta	I_rel	(hkl)
40.7	100	1 3 2
28.4	89	1 3 0
28.5	44	0 0 2
50.4	35	4 2 2
66.6	28	2 6 2
74.0	21	7 1 2
66.8	15	1 3 4
74.1	11	4 2 4
58.8	10	2 6 0
24.6	10	2 1 1
59.1	6	0 0 4
35.6	3	3 2 1

a b c (Å): 9.932 9.932 6.257
angles (deg): 90.00 90.00 90.00
Space group I4/m (No. 87)
One atom of each set of equivalent atoms:
Sm 0.000 0.000 0.000 (multiplicity 2)
Sm 0.096 0.286 0.500 (multiplicity 8)
Al 0.000 0.000 0.500 (multiplicity 2)
Te 0.095 0.303 0.000 (multiplicity 8)

(6)
# LaTa2Mo
Calculated X-ray diffraction stick pattern, λ = 1.5418 Å (Cu Kα). Input: the GGA-PBE geometry in Alexandria.
Neutral-atom scattering factors, no anomalous dispersion.

Principal peaks in the range 2θ from 10° to 80°, most intense first:
two_theta	I_rel	(hkl)
38.0	100	1 1 1
36.3	57	2 0 0
66.4	39	3 1 1
52.2	20	2 2 0
69.7	17	2 0 2
57.3	8	0 0 2
77.0	6	4 0 0
25.4	6	1 1 0
46.3	3	2 0 1
27.7	2	0 0 1
17.9	1	1 0 0
59.0	1	3 1 0

a b c (Å): 4.953 4.953 3.216
angles (deg): 90.00 90.00 90.00
Space group P4/mmm (No. 123)
One atom of each set of equivalent atoms:
La 0.000 0.000 0.000 (multiplicity 1)
Ta 0.000 0.500 0.500 (multiplicity 2)
Mo 0.500 0.500 0.000 (multiplicity 1)

(7)
# LaPm7Sm2
Calculated X-ray diffraction stick pattern, λ = 1.5418 Å (Cu Kα). Input: the GGA-PBE geometry in Alexandria.
Neutral-atom scattering factors, no anomalous dispersion.

Principal peaks in the range 2θ from 10° to 80°, most intense first:
two_theta	I_rel	(hkl)
29.4	100	1 1 4
31.9	81	2 0 0
32.3	77	1 2 3
28.2	46	1 2 1
31.6	28	0 2 4
65.6	22	1 5 4
45.6	21	2 2 4
37.8	20	1 3 0
52.6	17	0 3 7
55.4	17	3 1 4
57.1	15	3 2 3
57.0	15	2 4 0

a b c (Å): 5.606 7.898 16.219
angles (deg): 90.00 90.00 90.00
Space group Immm (No. 71)
One atom of each set of equivalent atoms:
La 0.000 0.000 0.000 (multiplicity 2)
Pm 0.000 0.000 0.500 (multiplicity 2)
Pm 0.000 0.300 0.370 (multiplicity 8)
Pm 0.000 0.500 0.154 (multiplicity 4)
Sm 0.000 0.000 0.213 (multiplicity 4)

(8)
# CeDyInGa
Calculated X-ray diffraction stick pattern, λ = 1.5418 Å (Cu Kα). Input: the GGA-PBE geometry in Alexandria.
Neutral-atom scattering factors, no anomalous dispersion.

Principal peaks in the range 2θ from 10° to 80°, most intense first:
two_theta	I_rel	(hkl)
33.6	100	1 0 2
37.2	39	1 1 0
64.8	29	2 1 2
57.6	19	1 1 4
53.6	14	2 0 0
42.3	12	0 0 4
70.6	10	2 0 4
71.8	8	1 0 6
79.3	5	2 2 0
26.1	5	1 0 0
60.6	4	1 0 5
28.1	4	1 0 1

a b c (Å): 3.417 3.417 8.552
angles (deg): 90.00 90.00 90.00
Space group P4mm (No. 99)
One atom of each set of equivalent atoms:
Ce 0.000 0.000 0.000 (multiplicity 1)
Dy 0.000 0.000 0.462 (multiplicity 1)
In 0.500 0.500 0.726 (multiplicity 1)
Ga 0.500 0.500 0.237 (multiplicity 1)

(9)
# Te2Pb3Cl2O6
Calculated X-ray diffraction stick pattern, λ = 1.5418 Å (Cu Kα). Input: the GGA-PBE geometry in Alexandria.
Neutral-atom scattering factors, no anomalous dispersion.

Principal peaks in the range 2θ from 10° to 80°, most intense first:
two_theta	I_rel	(hkl)
31.0	100	5 1 -1
28.7	94	1 1 -3
24.2	52	1 1 2
31.3	50	0 2 0
30.6	44	4 0 2
44.3	40	4 2 2
22.6	36	3 1 0
11.9	29	2 0 -1
55.5	26	5 3 -1
54.2	25	1 3 -3
43.1	21	4 2 -3
25.5	18	3 1 -2

a b c (Å): 16.776 5.709 11.158
angles (deg): 90.00 104.17 90.00
Space group C2/m (No. 12)
One atom of each set of equivalent atoms:
Te 0.103 0.000 0.054 (multiplicity 4)
Te 0.128 0.500 0.593 (multiplicity 4)
Pb 0.020 0.500 0.199 (multiplicity 4)
Pb 0.162 0.000 0.391 (multiplicity 4)
Pb 0.238 0.000 0.796 (multiplicity 4)
Cl 0.043 0.000 0.708 (multiplicity 4)
Cl 0.184 0.500 0.899 (multiplicity 4)
O 0.000 0.216 0.000 (multiplicity 4)
O 0.103 0.500 0.418 (multiplicity 4)
O 0.132 0.234 0.186 (multiplicity 8)
O 0.209 0.260 0.614 (multiplicity 8)